1.
Simulated PXRD pattern
Compound: CsKP3
Radiation: CuKα
Structure: DFT lattice parameters and positions (PBE)
Intensities are scaled so that the largest is 100.

Most intense lines, 15° ≤ 2θ ≤ 90°, in order of rising 2θ:
2θ = 22.1°, I 100; 2θ = 27.1°, I 69; 2θ = 31.4°, I 73; 2θ = 38.7°, I 46; 2θ = 45.0°, I 51; 2θ = 50.7°, I 21; 2θ = 53.3°, I 30; 2θ = 55.9°, I 17; 2θ = 60.8°, I 24; 2θ = 74.5°, I 22

```
CsKP3
1.0
5.699 0.000 0.000
0.000 5.699 0.000
0.000 0.000 5.699
Cs K P
1 1 3
Direct
0.000 0.000 0.000
0.500 0.500 0.500
0.000 0.500 0.500
0.500 0.000 0.500
0.500 0.500 0.000
```

***

2.
Simulated PXRD pattern
Compound: Cu2Ni5P3
Radiation: CuKα
Structure: DFT lattice parameters and positions (PBE)
Intensities are scaled so that the largest is 100.

Most intense lines, 15° ≤ 2θ ≤ 90°, in order of rising 2θ:
2θ = 31.9°, I 33; 2θ = 37.0°, I 19; 2θ = 38.4°, I 18; 2θ = 41.8°, I 68; 2θ = 44.2°, I 100; 2θ = 44.7°, I 55; 2θ = 44.9°, I 20; 2θ = 46.1°, I 40; 2θ = 57.5°, I 18; 2θ = 66.6°, I 20

```
Cu2Ni5P3
1.0
4.366 -5.614 0.000
4.366 5.614 0.000
-0.420 0.000 4.864
Cu Ni P
4 10 6
Direct
0.110 0.671 0.929
0.329 0.890 0.571
0.671 0.110 0.429
0.890 0.329 0.071
0.020 0.980 0.750
0.170 0.538 0.387
0.248 0.332 0.926
0.332 0.248 0.426
0.462 0.830 0.113
0.538 0.170 0.887
0.668 0.752 0.574
0.752 0.668 0.074
0.830 0.462 0.613
0.980 0.020 0.250
0.021 0.267 0.566
0.267 0.021 0.066
0.463 0.537 0.250
0.537 0.463 0.750
0.733 0.979 0.934
0.979 0.733 0.434
```

***

3.
Simulated PXRD pattern
Compound: PaSnMoRh
Radiation: CuKα
Structure: DFT lattice parameters and positions (PBE)
Intensities are scaled so that the largest is 100.

Most intense lines, 15° ≤ 2θ ≤ 90°, in order of rising 2θ:
2θ = 22.8°, I 8; 2θ = 26.3°, I 8; 2θ = 37.6°, I 100; 2θ = 44.4°, I 5; 2θ = 46.5°, I 3; 2θ = 54.2°, I 17; 2θ = 61.3°, I 4; 2θ = 67.9°, I 36; 2θ = 80.3°, I 11; 2θ = 86.3°, I 2

```
PaSnMoRh
1.0
6.765 0.000 0.000
0.000 6.765 0.000
0.000 0.000 6.765
Pa Sn Mo Rh
4 4 4 4
Direct
0.000 0.000 0.000
0.000 0.500 0.500
0.500 0.000 0.500
0.500 0.500 0.000
0.000 0.000 0.500
0.000 0.500 0.000
0.500 0.000 0.000
0.500 0.500 0.500
0.250 0.250 0.750
0.250 0.750 0.250
0.750 0.250 0.250
0.750 0.750 0.750
0.250 0.250 0.250
0.250 0.750 0.750
0.750 0.250 0.750
0.750 0.750 0.250
```

***

4.
Simulated PXRD pattern
Compound: RbAc4Rh3O12
Radiation: CuKα
Structure: DFT lattice parameters and positions (PBE)
Intensities are scaled so that the largest is 100.

Most intense lines, 15° ≤ 2θ ≤ 90°, in order of rising 2θ:
2θ = 20.1°, I 15; 2θ = 28.5°, I 100; 2θ = 35.1°, I 5; 2θ = 40.8°, I 20; 2θ = 45.9°, I 10; 2θ = 50.5°, I 48; 2θ = 59.1°, I 13; 2θ = 66.9°, I 20; 2θ = 74.3°, I 5; 2θ = 81.4°, I 22

```
RbAc4Rh3O12
1.0
-4.423 4.423 4.423
4.423 -4.423 4.423
4.423 4.423 -4.423
Rb Ac Rh O
1 4 3 12
Direct
0.000 0.000 0.000
0.000 0.000 0.500
0.000 0.500 0.000
0.500 0.000 0.000
0.500 0.500 0.500
0.000 0.500 0.500
0.500 0.000 0.500
0.500 0.500 0.000
0.150 0.337 0.487
0.150 0.663 0.813
0.187 0.850 0.337
0.337 0.187 0.850
0.337 0.487 0.150
0.487 0.150 0.337
0.513 0.850 0.663
0.663 0.513 0.850
0.663 0.813 0.150
0.813 0.150 0.663
0.850 0.337 0.187
0.850 0.663 0.513
```

***

5.
Simulated PXRD pattern
Compound: PuBiPb4
Radiation: CuKα
Structure: DFT lattice parameters and positions (PBE)
Intensities are scaled so that the largest is 100.

Most intense lines, 15° ≤ 2θ ≤ 90°, in order of rising 2θ:
2θ = 27.6°, I 28; 2θ = 32.5°, I 100; 2θ = 34.0°, I 38; 2θ = 48.9°, I 12; 2θ = 52.1°, I 37; 2θ = 57.1°, I 32; 2θ = 67.3°, I 13; 2θ = 68.2°, I 16; 2θ = 78.4°, I 6; 2θ = 80.9°, I 24

```
PuBiPb4
1.0
0.000 4.563 4.563
4.563 0.000 4.563
4.563 4.563 0.000
Pu Bi Pb
1 1 4
Direct
0.000 0.000 0.000
0.250 0.250 0.250
0.125 0.625 0.625
0.625 0.125 0.625
0.625 0.625 0.125
0.625 0.625 0.625
```

***

6.
Simulated PXRD pattern
Compound: KNdCuBr5
Radiation: CuKα
Structure: DFT lattice parameters and positions (PBE)
Intensities are scaled so that the largest is 100.

Most intense lines, 15° ≤ 2θ ≤ 90°, in order of rising 2θ:
2θ = 18.3°, I 100; 2θ = 20.7°, I 43; 2θ = 23.0°, I 66; 2θ = 23.8°, I 43; 2θ = 25.9°, I 41; 2θ = 26.8°, I 91; 2θ = 29.8°, I 48; 2θ = 35.9°, I 41; 2θ = 39.8°, I 51; 2θ = 43.7°, I 49

```
KNdCuBr5
1.0
4.665 -6.280 0.000
4.665 6.280 0.000
-4.218 0.000 9.847
K Nd Cu Br
2 2 2 10
Direct
0.141 0.859 0.750
0.859 0.141 0.250
0.500 0.500 0.000
0.500 0.500 0.500
0.189 0.811 0.250
0.811 0.189 0.750
0.111 0.251 0.931
0.175 0.582 0.374
0.251 0.111 0.431
0.407 0.593 0.750
0.418 0.825 0.126
0.582 0.175 0.874
0.593 0.407 0.250
0.749 0.889 0.569
0.825 0.418 0.626
0.889 0.749 0.069
```